For Sc2ZnIn, a GGA-PBE-relaxed structure gives the theoretical X-ray powder pattern in this record (Cu Kα, 1.54184 Å).

The 6 most intense peaks (2θ from 5° to 70°), by intensity:
two_theta	intensity	(hkl)
36.7	100	2 2 0
66.1	32	4 2 2
52.9	17	4 0 0
25.7	16	2 0 0
22.2	6	1 1 1
59.7	6	4 2 0

Crystal structure
a = 6.928 Å, b = 6.928 Å, c = 6.928 Å
α = 90.00°, β = 90.00°, γ = 90.00°
Space group Fm-3m (No. 225)
One atom of each set of equivalent atoms:
Sc: 0.250 0.250 0.250 [8 per cell]
Zn: 0.000 0.000 0.000 [4 per cell]
In: 0.000 0.000 0.500 [4 per cell]